# ScCrO4
Computed X-ray powder pattern, CuKα. Input: a cell relaxed with PBE+U.
Lines closer than 0.1° are merged.

abc: 5.147 6.632 9.551
angles: 89.93 83.08 89.93
Fractional coordinates of all 24 atoms:
Sc (0.000, 0.000, 0.000)
Sc (0.001, 0.501, 0.002)
Sc (0.496, 0.001, 0.498)
Sc (0.499, 0.503, 0.500)
Cr (0.034, 0.251, 0.322)
Cr (0.467, 0.751, 0.177)
Cr (0.537, 0.251, 0.821)
Cr (0.960, 0.751, 0.680)
O (0.074, 0.249, 0.134)
O (0.138, 0.952, 0.618)
O (0.141, 0.550, 0.620)
O (0.161, 0.752, 0.104)
O (0.336, 0.255, 0.395)
O (0.356, 0.049, 0.881)
O (0.357, 0.452, 0.882)
O (0.426, 0.750, 0.366)
O (0.580, 0.250, 0.634)
O (0.628, 0.961, 0.122)
O (0.630, 0.541, 0.125)
O (0.658, 0.753, 0.608)
O (0.838, 0.252, 0.892)
O (0.857, 0.047, 0.376)
O (0.864, 0.456, 0.381)
O (0.914, 0.749, 0.867)

Peak list (8 most intense, 5 to 70 degrees two-theta, in order of rising 2θ)
2θ 23.06, intensity 100
2θ 24.73, intensity 63
2θ 31.44, intensity 40
2θ 32.96, intensity 87
2θ 35.14, intensity 48
2θ 47.12, intensity 17
2θ 55.42, intensity 18
2θ 60.90, intensity 39



# Li9Mn2Co5O16
Computed X-ray powder pattern, CuKα. Input: a cell relaxed with PBE+U.
Lines closer than 0.1° are merged.

abc: 5.017 5.907 9.805
angles: 90.00 100.29 90.00
Fractional coordinates of all 32 atoms:
Li (0.000, 0.000, 0.000)
Li (0.245, 0.244, 0.243)
Li (0.245, 0.756, 0.243)
Li (0.247, 0.000, 0.759)
Li (0.251, 0.500, 0.756)
Li (0.749, 0.500, 0.244)
Li (0.753, 0.000, 0.241)
Li (0.755, 0.244, 0.757)
Li (0.755, 0.756, 0.757)
Mn (0.000, 0.500, 0.000)
Mn (0.500, 0.000, 0.500)
Co (0.000, 0.256, 0.500)
Co (0.000, 0.744, 0.500)
Co (0.500, 0.240, 0.000)
Co (0.500, 0.500, 0.500)
Co (0.500, 0.760, 0.000)
O (0.114, 0.500, 0.384)
O (0.139, 0.268, 0.889)
O (0.139, 0.732, 0.889)
O (0.141, 0.000, 0.388)
O (0.354, 0.500, 0.115)
O (0.376, 0.235, 0.612)
O (0.376, 0.765, 0.612)
O (0.392, 0.000, 0.118)
O (0.608, 0.000, 0.882)
O (0.624, 0.235, 0.388)
O (0.624, 0.765, 0.388)
O (0.646, 0.500, 0.885)
O (0.859, 0.000, 0.612)
O (0.861, 0.268, 0.111)
O (0.861, 0.732, 0.111)
O (0.886, 0.500, 0.616)

Peak list (8 most intense, 5 to 70 degrees two-theta, in order of rising 2θ)
2θ 18.39, intensity 100
2θ 35.79, intensity 27
2θ 36.40, intensity 13
2θ 43.38, intensity 56
2θ 44.10, intensity 27
2θ 57.30, intensity 12
2θ 63.16, intensity 22
2θ 63.97, intensity 15



# NaPrMnWO6
Computed X-ray powder pattern, CuKα. Input: a cell relaxed with PBE+U.
Lines closer than 0.1° are merged.

abc: 5.702 5.702 5.702
angles: 60.00 60.00 60.00
Fractional coordinates of all 10 atoms:
Na (0.000, 0.000, 0.000)
Pr (0.500, 0.500, 0.500)
Mn (0.250, 0.250, 0.250)
W (0.750, 0.750, 0.750)
O (0.510, 0.510, 0.990)
O (0.510, 0.990, 0.510)
O (0.510, 0.990, 0.990)
O (0.990, 0.510, 0.510)
O (0.990, 0.510, 0.990)
O (0.990, 0.990, 0.510)

Peak list (8 most intense, 5 to 70 degrees two-theta, in order of rising 2θ)
2θ 19.06, intensity 50
2θ 22.05, intensity 10
2θ 31.38, intensity 100
2θ 36.97, intensity 27
2θ 44.96, intensity 33
2θ 49.25, intensity 12
2θ 55.85, intensity 40
2θ 65.47, intensity 20



# BaCaWF7
Computed X-ray powder pattern, CuKα. Input: a cell relaxed with PBE+U.
Lines closer than 0.1° are merged.

abc: 5.977 10.661 10.271
angles: 90.00 91.34 90.00
Fractional coordinates of all 40 atoms:
Ba (0.230, 0.163, 0.499)
Ba (0.230, 0.337, 0.999)
Ba (0.770, 0.663, 0.001)
Ba (0.770, 0.837, 0.501)
Ca (0.196, 0.594, 0.319)
Ca (0.196, 0.906, 0.819)
Ca (0.804, 0.094, 0.181)
Ca (0.804, 0.406, 0.681)
W (0.310, 0.621, 0.690)
W (0.310, 0.879, 0.190)
W (0.690, 0.121, 0.810)
W (0.690, 0.379, 0.310)
F (0.018, 0.708, 0.765)
F (0.018, 0.792, 0.265)
F (0.087, 0.540, 0.121)
F (0.087, 0.960, 0.621)
F (0.149, 0.044, 0.124)
F (0.149, 0.456, 0.624)
F (0.210, 0.706, 0.511)
F (0.210, 0.794, 0.011)
F (0.380, 0.075, 0.893)
F (0.380, 0.425, 0.393)
F (0.429, 0.536, 0.865)
F (0.429, 0.964, 0.365)
F (0.489, 0.718, 0.255)
F (0.489, 0.782, 0.755)
F (0.511, 0.218, 0.245)
F (0.511, 0.282, 0.745)
F (0.571, 0.036, 0.635)
F (0.571, 0.464, 0.135)
F (0.620, 0.575, 0.607)
F (0.620, 0.925, 0.107)
F (0.790, 0.206, 0.989)
F (0.790, 0.294, 0.489)
F (0.851, 0.544, 0.376)
F (0.851, 0.956, 0.876)
F (0.913, 0.040, 0.379)
F (0.913, 0.460, 0.879)
F (0.982, 0.208, 0.735)
F (0.982, 0.292, 0.235)

Peak list (8 most intense, 5 to 70 degrees two-theta, in order of rising 2θ)
2θ 18.76, intensity 47
2θ 19.23, intensity 40
2θ 23.86, intensity 100
2θ 24.09, intensity 54
2θ 24.58, intensity 76
2θ 27.37, intensity 44
2θ 49.45, intensity 38
2θ 50.30, intensity 40



# NaSrTbMnO6
Computed X-ray powder pattern, CuKα. Input: a cell relaxed with PBE+U.
Lines closer than 0.1° are merged.

abc: 5.816 5.816 5.816
angles: 60.00 60.00 60.00
Fractional coordinates of all 10 atoms:
Na (0.000, 0.000, 0.000)
Sr (0.500, 0.500, 0.500)
Tb (0.750, 0.750, 0.750)
Mn (0.250, 0.250, 0.250)
O (0.019, 0.019, 0.481)
O (0.019, 0.481, 0.019)
O (0.019, 0.481, 0.481)
O (0.481, 0.019, 0.019)
O (0.481, 0.019, 0.481)
O (0.481, 0.481, 0.019)

Peak list (8 most intense, 5 to 70 degrees two-theta, in order of rising 2θ)
2θ 18.69, intensity 30
2θ 21.61, intensity 27
2θ 30.75, intensity 100
2θ 36.22, intensity 22
2θ 44.04, intensity 37
2θ 48.23, intensity 12
2θ 54.67, intensity 39
2θ 64.04, intensity 21



# Li3V4O7F5
Computed X-ray powder pattern, CuKα. Input: a cell relaxed with PBE+U.
Lines closer than 0.1° are merged.

abc: 5.062 5.383 8.937
angles: 73.26 89.07 62.60
Fractional coordinates of all 19 atoms:
Li (0.000, 0.000, 0.000)
Li (0.119, 0.732, 0.717)
Li (0.760, 0.476, 0.254)
V (0.028, 0.849, 0.374)
V (0.357, 0.337, 0.094)
V (0.540, 0.887, 0.857)
V (0.755, 0.375, 0.594)
O (0.309, 0.129, 0.976)
O (0.368, 0.614, 0.547)
O (0.375, 0.632, 0.922)
O (0.739, 0.126, 0.174)
O (0.758, 0.076, 0.785)
O (0.832, 0.116, 0.478)
O (0.873, 0.609, 0.417)
F (0.213, 0.137, 0.275)
F (0.232, 0.109, 0.674)
F (0.306, 0.635, 0.223)
F (0.813, 0.594, 0.732)
F (0.878, 0.632, 0.047)

Peak list (8 most intense, 5 to 70 degrees two-theta, in order of rising 2θ)
2θ 23.80, intensity 100
2θ 24.39, intensity 48
2θ 33.14, intensity 23
2θ 33.41, intensity 12
2θ 40.38, intensity 9
2θ 48.70, intensity 20
2θ 49.98, intensity 9
2θ 53.80, intensity 13



# LiCoH8S2O12
Computed X-ray powder pattern, CuKα. Input: a cell relaxed with PBE+U.
Lines closer than 0.1° are merged.

abc: 5.501 8.117 10.962
angles: 90.00 101.84 90.00
Fractional coordinates of all 48 atoms:
Li (0.000, 0.194, 0.000)
Li (0.000, 0.806, 0.500)
Co (0.118, 0.256, 0.371)
Co (0.118, 0.744, 0.871)
H (0.338, 0.314, 0.189)
H (0.338, 0.686, 0.689)
H (0.341, 0.115, 0.215)
H (0.341, 0.885, 0.715)
H (0.345, 0.033, 0.887)
H (0.345, 0.967, 0.387)
H (0.439, 0.057, 0.515)
H (0.439, 0.943, 0.015)
H (0.783, 0.444, 0.227)
H (0.783, 0.556, 0.727)
H (0.890, 0.465, 0.852)
H (0.890, 0.535, 0.352)
H (0.891, 0.388, 0.527)
H (0.891, 0.612, 0.027)
H (0.903, 0.190, 0.557)
H (0.903, 0.810, 0.057)
S (0.482, 0.453, 0.007)
S (0.482, 0.547, 0.507)
S (0.751, 0.034, 0.739)
S (0.751, 0.966, 0.239)
O (0.234, 0.218, 0.206)
O (0.234, 0.782, 0.706)
O (0.289, 0.038, 0.450)
O (0.289, 0.962, 0.950)
O (0.306, 0.326, 0.952)
O (0.306, 0.674, 0.452)
O (0.415, 0.381, 0.442)
O (0.415, 0.619, 0.942)
O (0.482, 0.475, 0.142)
O (0.482, 0.525, 0.642)
O (0.483, 0.057, 0.740)
O (0.483, 0.943, 0.240)
O (0.743, 0.419, 0.994)
O (0.743, 0.581, 0.494)
O (0.781, 0.022, 0.606)
O (0.781, 0.978, 0.106)
O (0.821, 0.132, 0.300)
O (0.821, 0.868, 0.800)
O (0.905, 0.164, 0.807)
O (0.905, 0.836, 0.307)
O (0.938, 0.458, 0.291)
O (0.938, 0.542, 0.791)
O (0.990, 0.286, 0.527)
O (0.990, 0.714, 0.027)

Peak list (8 most intense, 5 to 70 degrees two-theta, in order of rising 2θ)
2θ 13.68, intensity 68
2θ 16.52, intensity 26
2θ 19.83, intensity 94
2θ 20.84, intensity 83
2θ 22.75, intensity 57
2θ 27.53, intensity 100
2θ 28.02, intensity 27
2θ 34.16, intensity 49



# Li5Mn5O12
Computed X-ray powder pattern, CuKα. Input: a cell relaxed with PBE+U.
Lines closer than 0.1° are merged.

abc: 5.020 8.886 9.416
angles: 84.16 84.92 86.22
Fractional coordinates of all 44 atoms:
Li (0.000, 0.000, 0.000)
Li (0.012, 0.342, 0.988)
Li (0.108, 0.138, 0.234)
Li (0.370, 0.044, 0.752)
Li (0.479, 0.834, 0.001)
Li (0.495, 0.501, 0.989)
Li (0.596, 0.648, 0.234)
Li (0.628, 0.301, 0.236)
Li (0.848, 0.874, 0.761)
Li (0.869, 0.533, 0.757)
Mn (0.121, 0.473, 0.241)
Mn (0.224, 0.924, 0.490)
Mn (0.250, 0.254, 0.497)
Mn (0.363, 0.701, 0.749)
Mn (0.485, 0.177, 0.991)
Mn (0.627, 0.967, 0.238)
Mn (0.720, 0.425, 0.495)
Mn (0.754, 0.756, 0.492)
Mn (0.865, 0.209, 0.749)
Mn (0.984, 0.676, 0.998)
O (0.010, 0.378, 0.618)
O (0.051, 0.763, 0.605)
O (0.092, 0.084, 0.614)
O (0.169, 0.834, 0.879)
O (0.179, 0.548, 0.867)
O (0.185, 0.178, 0.885)
O (0.275, 0.633, 0.129)
O (0.306, 0.323, 0.124)
O (0.348, 0.007, 0.113)
O (0.386, 0.093, 0.376)
O (0.414, 0.419, 0.378)
O (0.457, 0.803, 0.368)
O (0.516, 0.876, 0.621)
O (0.553, 0.257, 0.603)
O (0.596, 0.587, 0.612)
O (0.685, 0.335, 0.882)
O (0.686, 0.049, 0.860)
O (0.689, 0.690, 0.878)
O (0.778, 0.134, 0.132)
O (0.784, 0.823, 0.119)
O (0.841, 0.502, 0.118)
O (0.882, 0.591, 0.377)
O (0.911, 0.926, 0.382)
O (0.945, 0.305, 0.365)

Peak list (8 most intense, 5 to 70 degrees two-theta, in order of rising 2θ)
2θ 9.47, intensity 24
2θ 21.02, intensity 100
2θ 21.43, intensity 100
2θ 28.09, intensity 51
2θ 28.77, intensity 51
2θ 41.88, intensity 72
2θ 44.63, intensity 65
2θ 45.95, intensity 61



# SrCa7Mn6Cr2O24
Computed X-ray powder pattern, CuKα. Input: a cell relaxed with PBE+U.
Lines closer than 0.1° are merged.

abc: 7.645 7.613 7.613
angles: 89.96 90.00 90.00
Fractional coordinates of all 40 atoms:
Sr (0.000, 0.000, 0.000)
Ca (0.000, 0.000, 0.498)
Ca (0.000, 0.498, 0.000)
Ca (0.000, 0.498, 0.498)
Ca (0.500, 0.000, 0.000)
Ca (0.500, 0.000, 0.499)
Ca (0.500, 0.498, 0.498)
Ca (0.500, 0.499, 0.000)
Mn (0.250, 0.250, 0.250)
Mn (0.250, 0.250, 0.749)
Mn (0.250, 0.749, 0.250)
Mn (0.750, 0.250, 0.250)
Mn (0.750, 0.250, 0.749)
Mn (0.750, 0.749, 0.250)
Cr (0.250, 0.749, 0.749)
Cr (0.750, 0.749, 0.749)
O (0.000, 0.251, 0.251)
O (0.000, 0.251, 0.747)
O (0.000, 0.747, 0.251)
O (0.000, 0.747, 0.747)
O (0.249, 0.499, 0.748)
O (0.249, 0.748, 0.499)
O (0.250, 0.249, 0.499)
O (0.250, 0.499, 0.249)
O (0.252, 0.251, 0.999)
O (0.252, 0.999, 0.251)
O (0.253, 0.748, 0.999)
O (0.253, 0.999, 0.748)
O (0.500, 0.249, 0.249)
O (0.500, 0.249, 0.749)
O (0.500, 0.749, 0.249)
O (0.500, 0.750, 0.750)
O (0.747, 0.748, 0.999)
O (0.747, 0.999, 0.748)
O (0.748, 0.251, 0.999)
O (0.748, 0.999, 0.251)
O (0.750, 0.249, 0.499)
O (0.750, 0.499, 0.249)
O (0.751, 0.499, 0.748)
O (0.751, 0.748, 0.499)

Peak list (8 most intense, 5 to 70 degrees two-theta, in order of rising 2θ)
2θ 23.34, intensity 11
2θ 33.24, intensity 100
2θ 47.57, intensity 17
2θ 47.79, intensity 33
2θ 59.30, intensity 12
2θ 59.44, intensity 23
2θ 69.73, intensity 18
2θ 69.89, intensity 9